Entry 1:
Diffraction record for TlZn2Ga10. The PXRD pattern is calculated, not measured: it uses DFT lattice parameters and positions (PBE) and CuKα.

Atomic structure:
```
TlZn2Ga10
1.0
0.000 6.650 6.698
2.874 0.000 6.698
2.874 6.650 0.000
Tl Zn Ga
1 2 10
direct
0.000 0.000 0.000 Tl
0.000 0.000 0.500 Zn
0.500 0.500 0.000 Zn
0.000 0.500 0.000 Ga
0.003 0.647 0.353 Ga
0.283 0.504 0.496 Ga
0.353 0.997 0.003 Ga
0.496 0.717 0.283 Ga
0.500 0.000 0.500 Ga
0.504 0.283 0.717 Ga
0.647 0.003 0.997 Ga
0.717 0.496 0.504 Ga
0.997 0.353 0.647 Ga
```

Most intense lines, 2θ from 10° to 90°, by intensity:
- 2θ = 36.6°, d 2.455, I 100
- 2θ = 38.1°, d 2.360, I 69
- 2θ = 32.4°, d 2.760, I 67
- 2θ = 37.9°, d 2.376, I 67
- 2θ = 37.7°, d 2.389, I 66
- 2θ = 26.2°, d 3.402, I 39
- 2θ = 67.9°, d 1.380, I 30
- 2θ = 31.1°, d 2.874, I 26


Entry 2:
Diffraction record for TlZn2Ga4. The PXRD pattern is calculated, not measured: it uses DFT lattice parameters and positions (PBE) and CuKα.

Atomic structure:
```
TlZn2Ga4
1.0
4.580 -3.449 0.000
4.580 3.449 0.000
-2.458 0.000 4.393
Tl Zn Ga
1 2 4
direct
0.000 0.000 0.000 Tl
0.489 0.489 0.742 Zn
0.511 0.511 0.258 Zn
0.001 0.605 0.298 Ga
0.395 0.999 0.702 Ga
0.605 0.001 0.298 Ga
0.999 0.395 0.702 Ga
```

Most intense lines, 2θ from 10° to 90°, by intensity:
- 2θ = 34.3°, d 2.611, I 100
- 2θ = 30.5°, d 2.932, I 43
- 2θ = 43.3°, d 2.090, I 37
- 2θ = 39.1°, d 2.304, I 35
- 2θ = 40.6°, d 2.223, I 33
- 2θ = 33.9°, d 2.645, I 33
- 2θ = 39.4°, d 2.288, I 29
- 2θ = 33.0°, d 2.712, I 28


Entry 3:
Diffraction record for Zr4TlGa. The PXRD pattern is calculated, not measured: it uses DFT lattice parameters and positions (PBE) and CuKα.

Atomic structure:
```
Zr4TlGa
1.0
6.840 0.000 0.000
0.000 6.840 0.000
0.000 0.000 5.659
Zr Tl Ga
8 2 2
direct
0.140 0.338 0.000 Zr
0.140 0.662 0.500 Zr
0.338 0.140 0.500 Zr
0.338 0.860 0.000 Zr
0.662 0.140 0.000 Zr
0.662 0.860 0.500 Zr
0.860 0.338 0.500 Zr
0.860 0.662 0.000 Zr
0.500 0.500 0.250 Tl
0.500 0.500 0.750 Tl
0.000 0.000 0.250 Ga
0.000 0.000 0.750 Ga
```

Most intense lines, 2θ from 10° to 90°, by intensity:
- 2θ = 33.3°, d 2.691, I 100
- 2θ = 41.8°, d 2.163, I 75
- 2θ = 36.8°, d 2.442, I 74
- 2θ = 41.4°, d 2.180, I 52
- 2θ = 12.9°, d 6.840, I 30
- 2θ = 63.6°, d 1.463, I 29
- 2θ = 66.8°, d 1.401, I 29
- 2θ = 18.3°, d 4.837, I 28


Entry 4:
Diffraction record for Tm3Ga2. The PXRD pattern is calculated, not measured: it uses DFT lattice parameters and positions (PBE) and CuKα.

Atomic structure:
```
Tm3Ga2
1.0
-5.724 5.724 7.341
5.724 -5.724 7.341
5.724 5.724 -7.341
Tm Ga
24 16
direct
0.067 0.931 0.270 Tm
0.069 0.339 0.136 Tm
0.145 0.645 0.500 Tm
0.161 0.431 0.864 Tm
0.170 0.330 0.500 Tm
0.203 0.933 0.864 Tm
0.297 0.161 0.730 Tm
0.330 0.830 0.161 Tm
0.339 0.203 0.270 Tm
0.355 0.855 0.500 Tm
0.431 0.567 0.270 Tm
0.433 0.703 0.864 Tm
0.567 0.297 0.136 Tm
0.569 0.433 0.730 Tm
0.645 0.145 0.500 Tm
0.661 0.797 0.730 Tm
0.670 0.170 0.839 Tm
0.703 0.839 0.270 Tm
0.797 0.067 0.136 Tm
0.830 0.670 0.500 Tm
0.839 0.569 0.136 Tm
0.855 0.355 0.500 Tm
0.931 0.661 0.864 Tm
0.933 0.069 0.730 Tm
0.000 0.000 0.000 Ga
0.024 0.878 0.500 Ga
0.119 0.619 0.737 Ga
0.122 0.622 0.146 Ga
0.250 0.250 0.000 Ga
0.378 0.524 0.500 Ga
0.381 0.119 0.500 Ga
0.476 0.976 0.854 Ga
0.500 0.500 0.000 Ga
0.524 0.024 0.146 Ga
0.619 0.881 0.500 Ga
0.622 0.476 0.500 Ga
0.750 0.750 0.000 Ga
0.878 0.378 0.854 Ga
0.881 0.381 0.263 Ga
0.976 0.122 0.500 Ga
```

Most intense lines, 2θ from 10° to 90°, by intensity:
- 2θ = 34.8°, d 2.578, I 100
- 2θ = 32.8°, d 2.728, I 84
- 2θ = 33.6°, d 2.664, I 44
- 2θ = 33.2°, d 2.698, I 32
- 2θ = 37.2°, d 2.415, I 31
- 2θ = 35.1°, d 2.560, I 27
- 2θ = 32.9°, d 2.719, I 23
- 2θ = 62.7°, d 1.481, I 21


Entry 5:
Diffraction record for Tm3Ga4. The PXRD pattern is calculated, not measured: it uses DFT lattice parameters and positions (PBE) and CuKα.

Atomic structure:
```
Tm3Ga4
1.0
-2.047 2.087 9.019
2.047 -2.087 9.019
2.047 2.087 -9.019
Tm Ga
3 4
direct
0.000 0.000 0.000 Tm
0.186 0.686 0.500 Tm
0.814 0.314 0.500 Tm
0.352 0.852 0.500 Ga
0.433 0.433 0.000 Ga
0.567 0.567 0.000 Ga
0.648 0.148 0.500 Ga
```

Most intense lines, 2θ from 10° to 90°, by intensity:
- 2θ = 32.2°, d 2.780, I 100
- 2θ = 32.8°, d 2.730, I 51
- 2θ = 41.4°, d 2.181, I 27
- 2θ = 26.3°, d 3.384, I 26
- 2θ = 43.3°, d 2.087, I 24
- 2θ = 44.3°, d 2.047, I 23
- 2θ = 56.2°, d 1.637, I 22
- 2θ = 36.6°, d 2.453, I 21


Entry 6:
Diffraction record for Tm4Ga. The PXRD pattern is calculated, not measured: it uses DFT lattice parameters and positions (PBE) and CuKα.

Atomic structure:
```
Tm4Ga
1.0
0.000 6.430 3.689
6.134 0.000 3.689
6.134 6.430 0.000
Tm Ga
8 2
direct
0.041 0.959 0.192 Tm
0.058 0.442 0.209 Tm
0.113 0.507 0.743 Tm
0.442 0.058 0.291 Tm
0.507 0.113 0.638 Tm
0.507 0.612 0.137 Tm
0.612 0.507 0.743 Tm
0.959 0.041 0.808 Tm
0.654 0.654 0.346 Ga
0.904 0.904 0.596 Ga
```

Most intense lines, 2θ from 10° to 90°, by intensity:
- 2θ = 31.5°, d 2.837, I 100
- 2θ = 32.6°, d 2.746, I 53
- 2θ = 37.8°, d 2.382, I 26
- 2θ = 38.0°, d 2.370, I 25
- 2θ = 32.3°, d 2.768, I 19
- 2θ = 40.7°, d 2.216, I 18
- 2θ = 29.1°, d 3.067, I 17
- 2θ = 39.3°, d 2.291, I 16


Entry 7:
Diffraction record for Tm5Ga2. The PXRD pattern is calculated, not measured: it uses DFT lattice parameters and positions (PBE) and CuKα.

Atomic structure:
```
Tm5Ga2
1.0
-3.913 7.086 3.213
3.913 -7.086 3.213
3.913 7.086 -3.213
Tm Ga
10 4
direct
0.019 0.250 0.769 Tm
0.083 0.660 0.743 Tm
0.250 0.250 0.000 Tm
0.417 0.160 0.577 Tm
0.481 0.250 0.231 Tm
0.519 0.750 0.769 Tm
0.583 0.840 0.423 Tm
0.750 0.750 0.000 Tm
0.917 0.340 0.257 Tm
0.981 0.750 0.231 Tm
0.128 0.279 0.407 Ga
0.372 0.779 0.151 Ga
0.628 0.221 0.849 Ga
0.872 0.721 0.593 Ga
```

Most intense lines, 2θ from 10° to 90°, by intensity:
- 2θ = 36.2°, d 2.483, I 100
- 2θ = 37.8°, d 2.380, I 87
- 2θ = 34.1°, d 2.626, I 86
- 2θ = 30.7°, d 2.909, I 73
- 2θ = 33.6°, d 2.665, I 55
- 2θ = 35.0°, d 2.565, I 54
- 2θ = 55.8°, d 1.648, I 45
- 2θ = 31.0°, d 2.884, I 33


Entry 8:
Diffraction record for TmV6Ga6. The PXRD pattern is calculated, not measured: it uses DFT lattice parameters and positions (PBE) and CuKα.

Atomic structure:
```
TmV6Ga6
1.0
-2.585 4.445 4.510
2.585 -4.445 4.510
2.585 4.445 -4.510
Tm V Ga
1 6 6
direct
0.000 0.000 0.000 Tm
0.000 0.000 0.500 V
0.000 0.500 0.000 V
0.242 0.742 0.500 V
0.500 0.000 0.000 V
0.500 0.500 0.500 V
0.758 0.258 0.500 V
0.181 0.500 0.681 Ga
0.316 0.316 0.000 Ga
0.344 0.000 0.344 Ga
0.656 0.000 0.656 Ga
0.684 0.684 0.000 Ga
0.819 0.500 0.319 Ga
```

Most intense lines, 2θ from 10° to 90°, by intensity:
- 2θ = 40.4°, d 2.234, I 100
- 2θ = 40.2°, d 2.243, I 77
- 2θ = 34.9°, d 2.571, I 60
- 2θ = 40.0°, d 2.255, I 46
- 2θ = 45.3°, d 2.002, I 32
- 2θ = 34.7°, d 2.585, I 32
- 2θ = 34.5°, d 2.599, I 26
- 2θ = 31.4°, d 2.848, I 23


Entry 9:
Diffraction record for Tm2VGa6. The PXRD pattern is calculated, not measured: it uses DFT lattice parameters and positions (PBE) and CuKα.

Atomic structure:
```
Tm2VGa6
1.0
5.832 0.000 0.000
-2.916 5.050 0.000
0.000 0.000 5.623
Tm V Ga
2 1 6
direct
0.333 0.667 0.167 Tm
0.667 0.333 0.833 Tm
0.000 0.000 0.000 V
0.177 0.355 0.683 Ga
0.177 0.823 0.683 Ga
0.355 0.177 0.317 Ga
0.645 0.823 0.683 Ga
0.823 0.177 0.317 Ga
0.823 0.645 0.317 Ga
```

Most intense lines, 2θ from 10° to 90°, by intensity:
- 2θ = 39.1°, d 2.304, I 100
- 2θ = 36.6°, d 2.456, I 48
- 2θ = 34.7°, d 2.589, I 30
- 2θ = 63.8°, d 1.458, I 21
- 2θ = 35.6°, d 2.525, I 20
- 2θ = 75.9°, d 1.253, I 18
- 2θ = 58.4°, d 1.579, I 18
- 2θ = 23.7°, d 3.757, I 16


Entry 10:
Diffraction record for Y3TmGa. The PXRD pattern is calculated, not measured: it uses DFT lattice parameters and positions (PBE) and CuKα.

Atomic structure:
```
Y3TmGa
1.0
5.914 -4.473 0.000
5.914 4.473 0.000
-5.007 0.000 5.866
Y Tm Ga
6 2 2
direct
0.054 0.054 0.329 Y
0.088 0.472 0.246 Y
0.472 0.088 0.246 Y
0.528 0.912 0.754 Y
0.912 0.528 0.754 Y
0.946 0.946 0.671 Y
0.433 0.433 0.733 Tm
0.567 0.567 0.267 Tm
0.256 0.256 0.885 Ga
0.744 0.744 0.115 Ga
```

Most intense lines, 2θ from 10° to 90°, by intensity:
- 2θ = 30.6°, d 2.921, I 100
- 2θ = 38.0°, d 2.370, I 71
- 2θ = 32.0°, d 2.793, I 64
- 2θ = 36.4°, d 2.470, I 60
- 2θ = 30.5°, d 2.933, I 51
- 2θ = 28.1°, d 3.172, I 47
- 2θ = 32.2°, d 2.782, I 44
- 2θ = 19.8°, d 4.473, I 37


Entry 11:
Diffraction record for YTmGa. The PXRD pattern is calculated, not measured: it uses DFT lattice parameters and positions (PBE) and CuKα.

Atomic structure:
```
YTmGa
1.0
7.923 0.000 0.000
-3.961 6.861 0.000
0.000 0.000 4.307
Y Tm Ga
3 3 3
direct
0.000 0.595 0.000 Y
0.405 0.405 0.000 Y
0.595 0.000 0.000 Y
0.000 0.259 0.500 Tm
0.259 0.000 0.500 Tm
0.741 0.741 0.500 Tm
0.000 0.000 0.000 Ga
0.333 0.667 0.500 Ga
0.667 0.333 0.500 Ga
```

Most intense lines, 2θ from 10° to 90°, by intensity:
- 2θ = 30.7°, d 2.916, I 100
- 2θ = 33.4°, d 2.684, I 61
- 2θ = 34.6°, d 2.593, I 54
- 2θ = 40.6°, d 2.222, I 36
- 2θ = 62.9°, d 1.478, I 31
- 2θ = 39.4°, d 2.287, I 29
- 2θ = 55.5°, d 1.657, I 28
- 2θ = 41.9°, d 2.154, I 24


Entry 12:
Diffraction record for Tm2Zn3Ga4. The PXRD pattern is calculated, not measured: it uses DFT lattice parameters and positions (PBE) and CuKα.

Atomic structure:
```
Tm2Zn3Ga4
1.0
2.854 -7.523 0.000
2.854 7.523 0.000
0.000 0.000 7.659
Tm Zn Ga
4 6 8
direct
0.107 0.893 0.903 Tm
0.393 0.607 0.403 Tm
0.607 0.393 0.597 Tm
0.893 0.107 0.097 Tm
0.000 0.000 0.500 Zn
0.019 0.481 0.750 Zn
0.481 0.019 0.250 Zn
0.500 0.500 0.000 Zn
0.519 0.981 0.750 Zn
0.981 0.519 0.250 Zn
0.175 0.825 0.522 Ga
0.190 0.310 0.750 Ga
0.310 0.190 0.250 Ga
0.325 0.675 0.022 Ga
0.675 0.325 0.978 Ga
0.690 0.810 0.750 Ga
0.810 0.690 0.250 Ga
0.825 0.175 0.478 Ga
```

Most intense lines, 2θ from 10° to 90°, by intensity:
- 2θ = 35.7°, d 2.516, I 100
- 2θ = 39.4°, d 2.288, I 47
- 2θ = 33.4°, d 2.685, I 41
- 2θ = 37.2°, d 2.418, I 36
- 2θ = 39.6°, d 2.274, I 21
- 2θ = 37.7°, d 2.383, I 17
- 2θ = 61.1°, d 1.516, I 16
- 2θ = 58.7°, d 1.574, I 15


- Which formula does entry 1 have?
  TlZn2Ga10